1.
# NaTlSiAu2
Calculated powder diffraction line list, Cu Kα X-rays. Input: a structure optimized by DFT (GGA-PBE).
Kinematic intensities with the Lorentz-polarization factor, no thermal factor.

Structural model:
a = 4.8273 Å, b = 4.8273 Å, c = 5.4926 Å
α = 90.00°, β = 90.00°, γ = 90.00°
Space group P4/mmm (No. 123)
Asymmetric unit:
Na: 0.0000 0.0000 0.0000
Tl: 0.5000 0.5000 0.0000
Si: 0.5000 0.5000 0.5000
Au: 0.0000 0.5000 0.5000

Largest 10 diffraction maxima, in order of rising 2θ, 2θ from 10° to 80°:
hkl, two_theta, I/Imax
0 0 1, 16.14, 13
1 0 0, 18.38, 21
1 1 1, 30.84, 100
0 0 2, 32.61, 26
2 0 0, 37.25, 37
2 0 2, 50.33, 31
2 2 0, 53.71, 13
1 1 3, 57.09, 18
3 1 1, 63.22, 27
2 2 2, 64.26, 15

2.
# Rb3Y2BiSe6
Calculated powder diffraction line list, Cu Kα X-rays. Input: a structure optimized by DFT (GGA-PBE).
Kinematic intensities with the Lorentz-polarization factor, no thermal factor.

Structural model:
a = 7.4269 Å, b = 12.8624 Å, c = 8.3644 Å
α = 90.00°, β = 107.22°, γ = 90.00°
Space group C2/m (No. 12)
Asymmetric unit:
Rb: 0.0000 0.0000 0.0000
Rb: 0.0000 0.3357 0.0000
Y: 0.0000 0.1669 0.5000
Bi: 0.0000 0.5000 0.5000
Se: 0.2249 0.0000 0.6972
Se: 0.2364 0.3296 0.6979

Largest 10 diffraction maxima, in order of rising 2θ, 2θ from 10° to 80°:
hkl, two_theta, I/Imax
0 0 1, 11.07, 20
1 3 1, 28.27, 100
1 3 2, 35.67, 10
2 0 2, 38.61, 33
0 6 0, 42.15, 36
4 0 0, 51.53, 19
4 0 -4, 58.48, 10
3 3 3, 63.68, 10
4 6 0, 68.69, 15
5 3 1, 74.68, 10

3.
# La2MnC2
Calculated powder diffraction line list, Cu Kα X-rays. Input: a structure optimized by DFT (GGA-PBE).
Kinematic intensities with the Lorentz-polarization factor, no thermal factor.

Structural model:
a = 11.4583 Å, b = 5.4491 Å, c = 6.8686 Å
α = 90.00°, β = 122.80°, γ = 90.00°
Space group C2/m (No. 12)
Asymmetric unit:
La: 0.0442 0.0000 0.2987
La: 0.1875 0.5000 0.1340
Mn: 0.1287 0.5000 0.6321
C: 0.0081 0.5000 0.3005
C: 0.1924 0.0000 0.1250

Largest 10 diffraction maxima, in order of rising 2θ, 2θ from 10° to 80°:
hkl, two_theta, I/Imax
3 1 -1, 28.54, 61
2 0 1, 29.92, 37
1 1 -2, 31.70, 100
3 1 0, 32.37, 77
3 1 -2, 32.76, 22
0 2 0, 32.87, 79
4 0 -2, 33.11, 48
2 2 1, 45.04, 24
4 2 -2, 47.35, 34
6 2 -1, 61.19, 21

4.
# Mg2Zr3Tl
Calculated powder diffraction line list, Cu Kα X-rays. Input: a structure optimized by DFT (GGA-PBE).
Kinematic intensities with the Lorentz-polarization factor, no thermal factor.

Structural model:
a = 5.7804 Å, b = 17.5079 Å, c = 2.8939 Å
α = 90.00°, β = 90.00°, γ = 90.00°
Space group Cmmm (No. 65)
Asymmetric unit:
Mg: 0.0000 0.1741 0.0000
Zr: 0.0000 0.0000 0.0000
Zr: 0.0000 0.3478 0.0000
Tl: 0.0000 0.5000 0.5000

Largest 10 diffraction maxima, in order of rising 2θ, 2θ from 10° to 80°:
hkl, two_theta, I/Imax
0 2 0, 10.10, 100
1 1 0, 16.15, 66
0 6 0, 30.64, 51
2 0 0, 30.94, 59
2 2 0, 32.61, 27
1 1 1, 35.05, 25
0 4 1, 37.25, 21
1 3 1, 38.04, 80
1 5 1, 43.49, 31
2 6 0, 44.10, 39

What did the first record say?
# NaTlSiAu2
Calculated powder diffraction line list, Cu Kα X-rays. Input: a structure optimized by DFT (GGA-PBE).
Kinematic intensities with the Lorentz-polarization factor, no thermal factor.

Structural model:
a = 4.8273 Å, b = 4.8273 Å, c = 5.4926 Å
α = 90.00°, β = 90.00°, γ = 90.00°
Space group P4/mmm (No. 123)
Asymmetric unit:
Na: 0.0000 0.0000 0.0000
Tl: 0.5000 0.5000 0.0000
Si: 0.5000 0.5000 0.5000
Au: 0.0000 0.5000 0.5000

Largest 10 diffraction maxima, in order of rising 2θ, 2θ from 10° to 80°:
hkl, two_theta, I/Imax
0 0 1, 16.14, 13
1 0 0, 18.38, 21
1 1 1, 30.84, 100
0 0 2, 32.61, 26
2 0 0, 37.25, 37
2 0 2, 50.33, 31
2 2 0, 53.71, 13
1 1 3, 57.09, 18
3 1 1, 63.22, 27
2 2 2, 64.26, 15